# 1
Cs2Cd2Au: computed X-ray diffraction stick pattern (λ = 1.5418 Å (Cu Kα)), based on the PBE geometry in Alexandria.

Structure:
Unit cell a=4.3017 b=4.3017 c=22.4810 alpha=90.00 beta=90.00 gamma=90.00
Space group I4/mmm (No. 139)
Unique sites:
1 Cs 0.0000 0.0000 0.0953
2 Cd 0.0000 0.5000 0.2500
3 Au 0.0000 0.0000 0.5000

The 10 most intense peaks (2θ from 10° to 90°), sorted by position:
- 15.77 deg, rel. 24.1, hkl 0 0 4
- 23.85 deg, rel. 43.8, hkl 1 0 3
- 28.72 deg, rel. 87.8, hkl 1 0 5
- 30.44 deg, rel. 100.0, hkl 1 1 2
- 34.86 deg, rel. 27.3, hkl 1 0 7
- 42.01 deg, rel. 35.7, hkl 2 0 0
- 48.86 deg, rel. 19.5, hkl 2 1 3
- 50.48 deg, rel. 40.2, hkl 1 1 10
- 51.68 deg, rel. 34.3, hkl 2 1 5
- 82.97 deg, rel. 19.3, hkl 3 1 10

# 2
Cs2Cd5Au5: computed X-ray diffraction stick pattern (λ = 1.5418 Å (Cu Kα)), based on the PBE geometry in Alexandria.

Structure:
Unit cell a=4.2010 b=6.7104 c=11.6404 alpha=90.00 beta=90.00 gamma=90.00
Space group Pmmm (No. 47)
Unique sites:
1 Cs 0.0000 0.0000 0.0000
2 Cs 0.0000 0.5000 0.5000
3 Cd 0.0000 0.0000 0.3189
4 Cd 0.0000 0.5000 0.1639
5 Cd 0.5000 0.0000 0.5000
6 Au 0.5000 0.2634 0.2570
7 Au 0.5000 0.5000 0.0000

The 10 most intense peaks (2θ from 10° to 90°), sorted by position:
- 15.23 deg, rel. 34.9, hkl 0 0 2
- 26.17 deg, rel. 26.8, hkl 1 0 2
- 30.75 deg, rel. 70.8, hkl 0 0 4
- 34.19 deg, rel. 100.0, hkl 1 2 0
- 37.62 deg, rel. 73.9, hkl 1 2 2
- 43.06 deg, rel. 24.8, hkl 2 0 0
- 51.95 deg, rel. 28.1, hkl 1 0 6
- 53.84 deg, rel. 29.9, hkl 2 0 4
- 54.67 deg, rel. 34.1, hkl 0 4 0
- 72.01 deg, rel. 30.1, hkl 2 4 0

# 3
CsCd2Au4: computed X-ray diffraction stick pattern (λ = 1.5418 Å (Cu Kα)), based on the PBE geometry in Alexandria.

Structure:
Unit cell a=9.0464 b=9.0464 c=8.5233 alpha=90.00 beta=90.00 gamma=90.00
Space group I4/mcm (No. 140)
Unique sites:
1 Cs 0.0000 0.0000 0.2500
2 Cd 0.1445 0.3555 0.0000
3 Au 0.1496 0.3504 0.3355

The 10 most intense peaks (2θ from 10° to 90°), sorted by position:
- 13.84 deg, rel. 25.4, hkl 1 1 0
- 31.27 deg, rel. 70.9, hkl 3 1 0
- 38.73 deg, rel. 100.0, hkl 2 1 3
- 39.86 deg, rel. 19.5, hkl 4 0 0
- 42.39 deg, rel. 19.1, hkl 3 3 0
- 52.71 deg, rel. 13.9, hkl 4 1 3
- 61.51 deg, rel. 11.2, hkl 6 0 0
- 64.44 deg, rel. 34.6, hkl 5 2 3
- 80.93 deg, rel. 11.7, hkl 7 3 0
- 81.40 deg, rel. 10.3, hkl 3 3 6